1.
The following is a computed powder X-ray diffraction pattern of ReMo2W3. It was derived from the PBE geometry in Alexandria, using λ = 1.5418 Å (Cu Kα).

The 6 most intense peaks (2θ = 5–70°), by angle:
- d 6.509, I = 4, (1 1 0)
- d 4.474, I = 4, (2 0 0)
- d 2.245, I = 20, (2 0 -2)
- d 2.238, I = 100, (4 0 0)
- d 1.587, I = 7, (2 0 2)
- d 1.582, I = 14, (0 6 0)

Cell and atoms:
```
data_ReMo2W3
_chemical_formula_sum 'Re4 Mo8 W12'
_symmetry_space_group_name_H-M 'C 1 2/c 1'
_symmetry_Int_Tables_number 15
_symmetry_space_group_name_Hall '-C 2yc'
_cell_length_a 10.0030
_cell_length_b 9.4843
_cell_length_c 4.4909
_cell_angle_alpha 90.00
_cell_angle_beta 116.55
_cell_angle_gamma 90.00
loop_
_atom_site_label
_atom_site_fract_x
_atom_site_fract_y
_atom_site_fract_z
Re1 0.0000 0.0848 0.2500
Mo1 0.0000 0.2492 0.7500
Mo2 0.0000 0.4175 0.2500
W1 0.2482 0.0835 0.9983
W2 0.2500 0.2500 0.5000
```

2.
The following is a computed powder X-ray diffraction pattern of ReMo3W9. It was derived from the PBE geometry in Alexandria, using λ = 1.5418 Å (Cu Kα).

The 6 most intense peaks (2θ = 5–70°), by angle:
- d 6.861, I = 5, (0 0 1)
- d 4.261, I = 2, (1 1 0)
- d 2.248, I = 100, (0 2 0)
- d 2.242, I = 99, (3 1 2)
- d 1.590, I = 11, (8 0 1)
- d 1.587, I = 23, (2 2 -3)

Cell and atoms:
```
data_ReMo3W9
_chemical_formula_sum 'Re2 Mo6 W18'
_symmetry_space_group_name_H-M 'C 1 m 1'
_symmetry_Int_Tables_number 8
_symmetry_space_group_name_Hall 'C -2y'
_cell_length_a 13.5005
_cell_length_b 4.4930
_cell_length_c 6.9031
_cell_angle_alpha 90.00
_cell_angle_beta 96.30
_cell_angle_gamma 90.00
loop_
_atom_site_label
_atom_site_fract_x
_atom_site_fract_y
_atom_site_fract_z
Re1 0.0000 0.0000 0.0000
Mo1 0.0384 0.5000 0.6932
Mo2 0.1918 0.5000 0.4609
Mo3 0.4232 0.5000 0.6141
W1 0.0766 0.0000 0.3840
W2 0.1150 0.5000 0.0758
W3 0.1536 0.0000 0.7693
W4 0.2307 0.0000 0.1527
W5 0.2693 0.5000 0.8453
W6 0.3078 0.0000 0.5380
W7 0.3459 0.5000 0.2296
W8 0.3851 0.0000 0.9217
W9 0.4613 0.0000 0.3065
```

3.
The following is a computed powder X-ray diffraction pattern of Re2Mo3W8. It was derived from the PBE geometry in Alexandria, using λ = 1.5418 Å (Cu Kα).

The 6 most intense peaks (2θ = 5–70°), by angle:
- d 2.355, I = 100, (0 2 1)
- d 2.339, I = 81, (2 0 2)
- d 2.290, I = 61, (5 1 -2)
- d 2.263, I = 42, (1 1 -3)
- d 2.216, I = 50, (5 1 -1)
- d 2.015, I = 51, (2 2 1)

Cell and atoms:
```
data_Re2Mo3W8
_chemical_formula_sum 'Re4 Mo6 W16'
_symmetry_space_group_name_H-M 'C 1 2/m 1'
_symmetry_Int_Tables_number 12
_symmetry_space_group_name_Hall '-C 2y'
_cell_length_a 12.9034
_cell_length_b 5.0175
_cell_length_c 8.2565
_cell_angle_alpha 90.00
_cell_angle_beta 124.23
_cell_angle_gamma 90.00
loop_
_atom_site_label
_atom_site_fract_x
_atom_site_fract_y
_atom_site_fract_z
Re1 0.1101 0.0000 0.0105
Mo1 0.0000 0.2497 0.5000
Mo2 0.0000 0.5000 0.0000
W1 0.1266 0.2499 0.3447
W2 0.1554 0.5000 0.8632
W3 0.2258 0.0000 0.7564
```

4.
The following is a computed powder X-ray diffraction pattern of Re2Mo5W2. It was derived from the PBE geometry in Alexandria, using λ = 1.5418 Å (Cu Kα).

The 6 most intense peaks (2θ = 5–70°), by angle:
- d 4.611, I = 5, (0 1 1)
- d 3.795, I = 3, (0 0 2)
- d 2.233, I = 100, (1 1 1)
- d 2.227, I = 20, (1 -2 1)
- d 1.582, I = 7, (1 3 -2)
- d 1.577, I = 13, (1 -1 4)

Cell and atoms:
```
data_Re2Mo5W2
_chemical_formula_sum 'Re2 Mo5 W2'
_symmetry_space_group_name_H-M 'P -1'
_symmetry_Int_Tables_number 2
_symmetry_space_group_name_Hall '-P 1'
_cell_length_a 2.7330
_cell_length_b 6.8782
_cell_length_c 7.7288
_cell_angle_alpha 100.73
_cell_angle_beta 90.18
_cell_angle_gamma 97.37
loop_
_atom_site_label
_atom_site_fract_x
_atom_site_fract_y
_atom_site_fract_z
Re1 0.1626 0.0003 0.3338
Mo1 0.2794 0.3318 0.8882
Mo2 0.3878 0.6681 0.4446
Mo3 0.5000 0.0000 0.0000
W1 0.0591 0.6678 0.7776
```

5.
The following is a computed powder X-ray diffraction pattern of ReMoW. It was derived from the PBE geometry in Alexandria, using λ = 1.5418 Å (Cu Kα).

The 6 most intense peaks (2θ = 5–70°), by angle:
- d 6.664, I = 10, (0 0 2)
- d 2.534, I = 4, (1 1 1)
- d 2.233, I = 100, (1 1 3)
- d 2.221, I = 20, (0 0 6)
- d 1.580, I = 7, (2 0 0)
- d 1.576, I = 13, (0 2 6)

Cell and atoms:
```
data_ReMoW
_chemical_formula_sum 'Re4 Mo4 W4'
_symmetry_space_group_name_H-M 'F m m 2'
_symmetry_Int_Tables_number 42
_symmetry_space_group_name_Hall 'F 2 -2'
_cell_length_a 3.1596
_cell_length_b 4.4731
_cell_length_c 13.3275
_cell_angle_alpha 90.00
_cell_angle_beta 90.00
_cell_angle_gamma 90.00
loop_
_atom_site_label
_atom_site_fract_x
_atom_site_fract_y
_atom_site_fract_z
Re1 0.0000 0.0000 0.0000
Mo1 0.0000 0.0000 0.3343
W1 0.0000 0.0000 0.6658
```

6.
The following is a computed powder X-ray diffraction pattern of ReMo5W2. It was derived from the PBE geometry in Alexandria, using λ = 1.5418 Å (Cu Kα).

The 6 most intense peaks (2θ = 5–70°), by angle:
- d 2.317, I = 23, (2 1 0)
- d 2.274, I = 100, (0 1 4)
- d 2.263, I = 48, (2 1 1)
- d 2.221, I = 47, (0 2 0)
- d 2.156, I = 12, (2 0 -3)
- d 2.148, I = 12, (2 0 3)

Cell and atoms:
```
data_ReMo5W2
_chemical_formula_sum 'Re2 Mo10 W4'
_symmetry_space_group_name_H-M 'P 1 2/m 1'
_symmetry_Int_Tables_number 10
_symmetry_space_group_name_Hall '-P 2y'
_cell_length_a 5.4303
_cell_length_b 4.4423
_cell_length_c 10.5882
_cell_angle_alpha 90.00
_cell_angle_beta 90.24
_cell_angle_gamma 90.00
loop_
_atom_site_label
_atom_site_fract_x
_atom_site_fract_y
_atom_site_fract_z
Re1 0.0000 0.0000 0.0000
Re2 0.5000 0.0000 0.5000
Mo1 0.0000 0.0000 0.5000
Mo2 0.1604 0.0000 0.2496
Mo3 0.1658 0.5000 0.8803
Mo4 0.3320 0.5000 0.3802
Mo5 0.3397 0.0000 0.7493
Mo6 0.5000 0.0000 0.0000
W1 0.1682 0.5000 0.6203
W2 0.3341 0.5000 0.1201
```

7.
The following is a computed powder X-ray diffraction pattern of Mo8Rh. It was derived from the PBE geometry in Alexandria, using λ = 1.5418 Å (Cu Kα).

The 4 most intense peaks (2θ = 5–70°), by angle:
- d 2.240, I = 100, (3 0 1)
- d 2.225, I = 49, (3 3 0)
- d 1.594, I = 8, (0 0 2)
- d 1.574, I = 16, (6 0 0)

Cell and atoms:
```
data_Mo8Rh
_chemical_formula_sum 'Mo16 Rh2'
_symmetry_space_group_name_H-M 'I 4/m m m'
_symmetry_Int_Tables_number 139
_symmetry_space_group_name_Hall '-I 4 2'
_cell_length_a 9.4415
_cell_length_b 9.4415
_cell_length_c 3.1875
_cell_angle_alpha 90.00
_cell_angle_beta 90.00
_cell_angle_gamma 90.00
loop_
_atom_site_label
_atom_site_fract_x
_atom_site_fract_y
_atom_site_fract_z
Mo1 0.0000 0.3315 0.0000
Mo2 0.1703 0.1703 0.5000
Rh1 0.0000 0.0000 0.0000
```

8.
The following is a computed powder X-ray diffraction pattern of Mo2Rh5. It was derived from the PBE geometry in Alexandria, using λ = 1.5418 Å (Cu Kα).

The 6 most intense peaks (2θ = 5–70°), by angle:
- d 2.360, I = 42, (1 1 1)
- d 2.216, I = 79, (0 0 7)
- d 2.179, I = 55, (2 0 -3)
- d 2.166, I = 100, (1 1 3)
- d 2.038, I = 85, (1 1 -4)
- d 2.029, I = 48, (2 0 4)

Cell and atoms:
```
data_Mo2Rh5
_chemical_formula_sum 'Mo4 Rh10'
_symmetry_space_group_name_H-M 'P 1 21/m 1'
_symmetry_Int_Tables_number 11
_symmetry_space_group_name_Hall '-P 2yb'
_cell_length_a 4.7861
_cell_length_b 2.7579
_cell_length_c 15.5104
_cell_angle_alpha 90.00
_cell_angle_beta 90.48
_cell_angle_gamma 90.00
loop_
_atom_site_label
_atom_site_fract_x
_atom_site_fract_y
_atom_site_fract_z
Mo1 0.0741 0.2500 0.3580
Mo2 0.2609 0.7500 0.2129
Rh1 0.0874 0.2500 0.0767
Rh2 0.2494 0.7500 0.7852
Rh3 0.2506 0.7500 0.4971
Rh4 0.4141 0.2500 0.6461
Rh5 0.4141 0.2500 0.9286
```

9.
The following is a computed powder X-ray diffraction pattern of MoRh2. It was derived from the PBE geometry in Alexandria, using λ = 1.5418 Å (Cu Kα).

The 6 most intense peaks (2θ = 5–70°), by angle:
- d 2.404, I = 26, (1 0 3)
- d 2.190, I = 39, (0 2 0)
- d 2.107, I = 100, (1 1 3)
- d 2.102, I = 52, (2 1 0)
- d 1.618, I = 22, (1 2 3)
- d 1.385, I = 17, (3 0 3)

Cell and atoms:
```
data_MoRh2
_chemical_formula_sum 'Mo4 Rh8'
_symmetry_space_group_name_H-M 'P n m a'
_symmetry_Int_Tables_number 62
_symmetry_space_group_name_Hall '-P 2ac 2n'
_cell_length_a 4.7923
_cell_length_b 4.3793
_cell_length_c 8.3367
_cell_angle_alpha 90.00
_cell_angle_beta 90.00
_cell_angle_gamma 90.00
loop_
_atom_site_label
_atom_site_fract_x
_atom_site_fract_y
_atom_site_fract_z
Mo1 0.1703 0.2500 0.1567
Rh1 0.1594 0.2500 0.8295
Rh2 0.1663 0.2500 0.4931
```

10.
The following is a computed powder X-ray diffraction pattern of Mo3Rh4. It was derived from the PBE geometry in Alexandria, using λ = 1.5418 Å (Cu Kα).

The 6 most intense peaks (2θ = 5–70°), by angle:
- d 2.252, I = 100, (0 1 7)
- d 2.245, I = 100, (1 1 0)
- d 1.948, I = 96, (0 2 0)
- d 1.381, I = 10, (0 0 14)
- d 1.377, I = 40, (1 2 7)
- d 1.375, I = 10, (2 0 0)

Cell and atoms:
```
data_Mo3Rh4
_chemical_formula_sum 'Mo6 Rh8'
_symmetry_space_group_name_H-M 'I m m m'
_symmetry_Int_Tables_number 71
_symmetry_space_group_name_Hall '-I 2 2'
_cell_length_a 2.7497
_cell_length_b 3.8906
_cell_length_c 19.3370
_cell_angle_alpha 90.00
_cell_angle_beta 90.00
_cell_angle_gamma 90.00
loop_
_atom_site_label
_atom_site_fract_x
_atom_site_fract_y
_atom_site_fract_z
Mo1 0.0000 0.0000 0.0000
Mo2 0.0000 0.0000 0.1445
Rh1 0.0000 0.0000 0.2880
Rh2 0.0000 0.0000 0.4299
```

11.
The following is a computed powder X-ray diffraction pattern of MoRh4. It was derived from the PBE geometry in Alexandria, using λ = 1.5418 Å (Cu Kα).

The 6 most intense peaks (2θ = 5–70°), by angle:
- d 2.233, I = 100, (1 1 1)
- d 2.228, I = 33, (2 -1 0)
- d 1.935, I = 43, (1 -1 3)
- d 1.928, I = 21, (2 1 -2)
- d 1.369, I = 7, (0 1 4)
- d 1.367, I = 27, (2 -3 2)

Cell and atoms:
```
data_MoRh4
_chemical_formula_sum 'Mo2 Rh8'
_symmetry_space_group_name_H-M 'P -1'
_symmetry_Int_Tables_number 2
_symmetry_space_group_name_Hall '-P 1'
_cell_length_a 4.7226
_cell_length_b 4.7389
_cell_length_c 7.2356
_cell_angle_alpha 109.07
_cell_angle_beta 102.41
_cell_angle_gamma 99.65
loop_
_atom_site_label
_atom_site_fract_x
_atom_site_fract_y
_atom_site_fract_z
Mo1 0.1079 0.2121 0.2095
Rh1 0.0000 0.0000 0.5000
Rh2 0.1957 0.3914 0.9034
Rh3 0.2984 0.6021 0.6014
Rh4 0.3977 0.8012 0.2972
Rh5 0.5000 0.0000 0.0000
```

12.
The following is a computed powder X-ray diffraction pattern of MoRu2Rh2. It was derived from the PBE geometry in Alexandria, using λ = 1.5418 Å (Cu Kα).

The 6 most intense peaks (2θ = 5–70°), by angle:
- d 2.646, I = 34, (1 0 2)
- d 2.307, I = 36, (0 0 3)
- d 2.181, I = 100, (1 1 -1)
- d 2.176, I = 96, (1 1 1)
- d 2.157, I = 37, (0 1 2)
- d 2.070, I = 74, (2 0 0)

Cell and atoms:
```
data_MoRu2Rh2
_chemical_formula_sum 'Mo1 Ru2 Rh2'
_symmetry_space_group_name_H-M 'P 1 2/m 1'
_symmetry_Int_Tables_number 10
_symmetry_space_group_name_Hall '-P 2y'
_cell_length_a 4.1395
_cell_length_b 2.7582
_cell_length_c 6.9203
_cell_angle_alpha 90.00
_cell_angle_beta 90.40
_cell_angle_gamma 90.00
loop_
_atom_site_label
_atom_site_fract_x
_atom_site_fract_y
_atom_site_fract_z
Mo1 0.0000 0.0000 0.0000
Ru1 0.0000 0.5000 0.5000
Ru2 0.5000 0.0000 0.5000
Rh1 0.4970 0.5000 0.8154
```